Simulated powder diffractogram of Y6Te5S for Cu Ka, from a GGA-PBE-relaxed structure.
No peak broadening, texture or thermal motion is included.

The 8 most intense peaks (2θ from 15° to 90°), in order of rising 2θ:
- hkl 2 0 -2, d = 3.045 Å, I 100.0
- hkl 2 0 2, d = 2.158 Å, I 44.1
- hkl 1 3 -3, d = 2.145 Å, I 23.2
- hkl 4 0 0, d = 1.766 Å, I 5.1
- hkl 2 6 -2, d = 1.758 Å, I 10.7
- hkl 0 0 4, d = 1.750 Å, I 5.8
- hkl 2 6 2, d = 1.524 Å, I 6.0
- hkl 5 3 -3, d = 1.363 Å, I 11.4

Cell and atoms:
Lattice parameters (Å, degrees): 7.4850 12.9370 7.4170 90.00 109.32 90.00
Space group C2/m (No. 12)
Symmetry-distinct sites (fractional):
Y 0.2116 0.0000 0.2677
Y 0.2176 0.1462 0.7205
Te 0.0000 0.1787 0.0000
Te 0.0000 0.3363 0.5000
Te 0.0000 0.5000 0.0000
S 0.0000 0.0000 0.5000

---

Simulated powder diffractogram of NiPt2Se4 for Cu Ka, from a GGA-PBE-relaxed structure.
No peak broadening, texture or thermal motion is included.

The 8 most intense peaks (2θ from 15° to 90°), in order of rising 2θ:
- hkl 3 1 1, d = 3.145 Å, I 85.8
- hkl 4 0 0, d = 2.608 Å, I 97.0
- hkl 5 1 1, d = 2.007 Å, I 40.5
- hkl 4 4 0, d = 1.844 Å, I 100.0
- hkl 5 3 1, d = 1.763 Å, I 16.6
- hkl 4 4 4, d = 1.506 Å, I 23.7
- hkl 5 5 3, d = 1.358 Å, I 18.5
- hkl 8 4 0, d = 1.166 Å, I 31.0

Cell and atoms:
Lattice parameters (Å, degrees): 10.4311 10.4311 10.4311 90.00 90.00 90.00
Space group Fd-3m (No. 227, origin choice 2)
Symmetry-distinct sites (fractional):
Ni 0.1250 0.1250 0.1250
Pt 0.0000 0.0000 0.5000
Se 0.0060 0.0060 0.7440

---

Simulated powder diffractogram of ScVBi for Cu Ka, from a GGA-PBE-relaxed structure.
No peak broadening, texture or thermal motion is included.

The 8 most intense peaks (2θ from 15° to 90°), in order of rising 2θ:
- hkl 1 1 1, d = 4.459 Å, I 40.5
- hkl 1 1 2, d = 3.235 Å, I 100.0
- hkl 2 0 0, d = 3.122 Å, I 55.7
- hkl 1 3 1, d = 2.808 Å, I 95.9
- hkl 0 4 0, d = 2.556 Å, I 40.8
- hkl 2 2 1, d = 2.532 Å, I 79.8
- hkl 0 2 3, d = 2.397 Å, I 93.0
- hkl 2 2 3, d = 1.901 Å, I 56.7

Cell and atoms:
Lattice parameters (Å, degrees): 6.2432 10.2237 8.1432 90.00 90.00 90.00
Space group Cmce (No. 64)
Symmetry-distinct sites (fractional):
Sc 0.2500 0.1043 0.2500
V 0.0000 0.0884 0.5572
Bi 0.0000 0.1501 0.9071

---

Simulated powder diffractogram of RbNbFeTePd for Cu Ka, from a GGA-PBE-relaxed structure.
No peak broadening, texture or thermal motion is included.

The 8 most intense peaks (2θ from 15° to 90°), in order of rising 2θ:
- hkl 1 0 4, d = 3.090 Å, I 100.0
- hkl 0 1 5, d = 2.922 Å, I 16.7
- hkl 0 1 8, d = 2.422 Å, I 61.2
- hkl 1 1 0, d = 2.006 Å, I 83.3
- hkl 1 0 13, d = 1.784 Å, I 15.0
- hkl 0 2 4, d = 1.682 Å, I 16.6
- hkl 2 0 8, d = 1.545 Å, I 14.6
- hkl 3 0 0, d = 1.158 Å, I 21.2

Cell and atoms:
Lattice parameters (Å, degrees): 4.0115 4.0115 27.0267 90.00 90.00 120.00
Space group R3m (No. 160, hexagonal axes)
Symmetry-distinct sites (fractional):
Rb 0.0000 0.0000 0.0000
Nb 0.0000 0.0000 0.4826
Fe 0.0000 0.0000 0.8540
Te 0.0000 0.0000 0.2230
Pd 0.0000 0.0000 0.7583

---

Simulated powder diffractogram of Lu3Cd for Cu Ka, from a GGA-PBE-relaxed structure.
No peak broadening, texture or thermal motion is included.

The 8 most intense peaks (2θ from 15° to 90°), in order of rising 2θ:
- hkl 1 0 0, d = 4.750 Å, I 2.4
- hkl 1 1 0, d = 3.358 Å, I 2.1
- hkl 1 1 1, d = 2.742 Å, I 100.0
- hkl 2 0 0, d = 2.375 Å, I 50.2
- hkl 2 2 0, d = 1.679 Å, I 34.9
- hkl 3 1 1, d = 1.432 Å, I 41.0
- hkl 2 2 2, d = 1.371 Å, I 11.8
- hkl 4 0 0, d = 1.187 Å, I 5.6

Cell and atoms:
Lattice parameters (Å, degrees): 4.7495 4.7495 4.7495 90.00 90.00 90.00
Space group Pm-3m (No. 221)
Symmetry-distinct sites (fractional):
Lu 0.0000 0.0000 0.5000
Cd 0.5000 0.5000 0.5000

---

Please write out number 3 again, unchanged.
Simulated powder diffractogram of ScVBi for Cu Ka, from a GGA-PBE-relaxed structure.
No peak broadening, texture or thermal motion is included.

The 8 most intense peaks (2θ from 15° to 90°), in order of rising 2θ:
- hkl 1 1 1, d = 4.459 Å, I 40.5
- hkl 1 1 2, d = 3.235 Å, I 100.0
- hkl 2 0 0, d = 3.122 Å, I 55.7
- hkl 1 3 1, d = 2.808 Å, I 95.9
- hkl 0 4 0, d = 2.556 Å, I 40.8
- hkl 2 2 1, d = 2.532 Å, I 79.8
- hkl 0 2 3, d = 2.397 Å, I 93.0
- hkl 2 2 3, d = 1.901 Å, I 56.7

Cell and atoms:
Lattice parameters (Å, degrees): 6.2432 10.2237 8.1432 90.00 90.00 90.00
Space group Cmce (No. 64)
Symmetry-distinct sites (fractional):
Sc 0.2500 0.1043 0.2500
V 0.0000 0.0884 0.5572
Bi 0.0000 0.1501 0.9071